Diffraction record for PmCdAgF6. The powder X-ray diffraction pattern is simulated, not measured: it uses a GGA-PBE-relaxed structure and Cu Kα (weighted mean of Kα1 and Kα2).
Lines closer than 0.1° are merged.

Most intense lines, 10 to 90 degrees two-theta, sorted by position:
- 2θ 23.31, rel. 100
- 2θ 29.41, rel. 83
- 2θ 33.21, rel. 21
- 2θ 44.94, rel. 73
- 2θ 47.67, rel. 19
- 2θ 53.72, rel. 16
- 2θ 55.51, rel. 18
- 2θ 57.00, rel. 23
- 2θ 67.59, rel. 13
- 2θ 77.41, rel. 12

Cell and atoms:
```
PmCdAgF6
1.0
5.3961 0.0000 0.0000
0.0000 5.3961 0.0000
0.0000 0.0000 11.0249
Pm Cd Ag F
2 2 2 12
Direct
0.0000 0.0000 0.0000
0.5000 0.5000 0.5000
0.0000 0.0000 0.6656
0.5000 0.5000 0.1656
0.0000 0.0000 0.3323
0.5000 0.5000 0.8323
0.1811 0.1811 0.8330
0.2031 0.2031 0.5145
0.2066 0.2066 0.1481
0.2934 0.7066 0.6481
0.2969 0.7031 0.0145
0.3189 0.6811 0.3330
0.6811 0.3189 0.3330
0.7031 0.2969 0.0145
0.7066 0.2934 0.6481
0.7934 0.7934 0.1481
0.7969 0.7969 0.5145
0.8189 0.8189 0.8330
```